Starting from a structure optimized by DFT (PBE), the XRD peak list of Y2Ta4Al3C3 was computed for Cu Kα (λ = 1.5418 Å).

Top 10 peaks for 2θ from 10° to 90°, in order of rising 2θ:
| d (Å) | Position (°2θ) | I/Imax |
| --- | --- | --- |
| 7.050 | 12.6 | 75 |
| 3.525 | 25.3 | 15 |
| 2.814 | 31.8 | 32 |
| 2.760 | 32.4 | 51 |
| 2.421 | 37.1 | 51 |
| 2.411 | 37.3 | 100 |
| 2.350 | 38.3 | 27 |
| 1.625 | 56.7 | 29 |
| 1.582 | 58.3 | 12 |
| 1.347 | 69.9 | 11 |

Crystal structure
```
data_Y2Ta4Al3C3
_cell_length_a 5.6308
_cell_length_b 5.6308
_cell_length_c 14.4887
_cell_angle_alpha 101.51
_cell_angle_beta 101.51
_cell_angle_gamma 59.89
_symmetry_space_group_name_H-M 'P 1'
_symmetry_Int_Tables_number 1
_symmetry_space_group_name_Hall 'P 1'
loop_
_atom_site_label
_atom_site_type_symbol
_atom_site_fract_x
_atom_site_fract_y
_atom_site_fract_z
Y1 Y 0.0393 0.8781 0.6148
Y2 Y 0.1219 0.9607 0.8852
Y3 Y 0.8781 0.0393 0.1148
Y4 Y 0.9607 0.1219 0.3852
Ta1 Ta 0.1930 0.3482 0.0795
Ta2 Ta 0.2934 0.4854 0.4204
Ta3 Ta 0.3482 0.1930 0.5795
Ta4 Ta 0.4854 0.2934 0.9204
Ta5 Ta 0.5146 0.7066 0.0796
Ta6 Ta 0.6518 0.8070 0.4205
Ta7 Ta 0.7066 0.5146 0.5796
Ta8 Ta 0.8070 0.6518 0.9205
Al1 Al 0.0868 0.4042 0.7521
Al2 Al 0.4042 0.0868 0.2521
Al3 Al 0.4257 0.5743 0.2500
Al4 Al 0.5743 0.4257 0.7500
Al5 Al 0.5958 0.9132 0.7479
Al6 Al 0.9132 0.5958 0.2479
C1 C 0.0000 0.5000 0.5000
C2 C 0.1739 0.6525 0.0002
C3 C 0.3475 0.8261 0.4998
C4 C 0.5000 0.0000 0.0000
C5 C 0.6525 0.1739 0.5002
C6 C 0.8261 0.3475 0.9998
```